# 1
This entry pairs a crystal structure of BaCuSi2O6 with its computed XRD peak list. Radiation: Cu Kα (weighted mean of Kα1 and Kα2). Structure: the PBE geometry in the Materials Project.
Kinematic intensities with the Lorentz-polarization factor, no thermal factor.

Top 10 peaks for 10° ≤ 2θ ≤ 90°, in order of rising 2θ:
d/Å, Rel. int., index
6.036, 28, 1 0 1
3.754, 90, 1 1 2
3.301, 30, 1 0 3
3.085, 26, 2 1 1
3.018, 100, 2 0 2
2.538, 61, 2 2 0
2.443, 72, 1 1 4
2.103, 38, 3 1 2
1.795, 25, 4 0 0
1.760, 40, 3 1 4

Atomic structure:
abc: 7.1796 7.1796 11.1496
angles: 90.00 90.00 90.00
Element x y z (fractional)
1 Ba 0.2500 0.2500 0.0056
2 Ba 0.2500 0.2500 0.5056
3 Ba 0.7500 0.7500 0.4944
4 Ba 0.7500 0.7500 0.9944
5 Cu 0.2500 0.7500 0.1280
6 Cu 0.2500 0.7500 0.3720
7 Cu 0.7500 0.2500 0.6280
8 Cu 0.7500 0.2500 0.8720
9 Si 0.0238 0.5238 0.7500
10 Si 0.0238 0.9762 0.7500
11 Si 0.4762 0.5238 0.7500
12 Si 0.4762 0.9762 0.7500
13 Si 0.5238 0.0238 0.2500
14 Si 0.5238 0.4762 0.2500
15 Si 0.9762 0.0238 0.2500
16 Si 0.9762 0.4762 0.2500
17 O 0.0147 0.2500 0.2473
18 O 0.0564 0.5585 0.1246
19 O 0.0564 0.9415 0.1246
20 O 0.0585 0.5564 0.3754
21 O 0.0585 0.9436 0.3754
22 O 0.2500 0.0147 0.7473
23 O 0.2500 0.4853 0.7473
24 O 0.4415 0.5564 0.3754
25 O 0.4415 0.9436 0.3754
26 O 0.4436 0.5585 0.1246
27 O 0.4436 0.9415 0.1246
28 O 0.4853 0.2500 0.2473
29 O 0.5147 0.7500 0.7527
30 O 0.5564 0.0585 0.8754
31 O 0.5564 0.4415 0.8754
32 O 0.5585 0.0564 0.6246
33 O 0.5585 0.4436 0.6246
34 O 0.7500 0.5147 0.2527
35 O 0.7500 0.9853 0.2527
36 O 0.9415 0.0564 0.6246
37 O 0.9415 0.4436 0.6246
38 O 0.9436 0.0585 0.8754
39 O 0.9436 0.4415 0.8754
40 O 0.9853 0.7500 0.7527



# 2
This entry pairs a crystal structure of K2TbNb5O15 with its computed XRD peak list. Radiation: Cu Kα (weighted mean of Kα1 and Kα2). Structure: the PBE geometry in the Materials Project.
Kinematic intensities with the Lorentz-polarization factor, no thermal factor.

Top 10 peaks for 10° ≤ 2θ ≤ 90°, in order of rising 2θ:
d/Å, Rel. int., index
6.379, 44, 2 0 0
3.538, 41, 3 2 0
3.251, 34, 2 1 1
3.094, 50, 4 1 0
2.974, 35, 2 2 1
2.853, 47, 4 2 0
2.824, 100, 3 1 1
2.017, 30, 6 2 0
1.978, 32, 0 0 2
1.642, 49, 5 5 1

Atomic structure:
abc: 12.7575 12.7575 3.9556
angles: 90.00 90.00 90.00
Element x y z (fractional)
1 K 0.1700 0.3300 0.0000
2 K 0.3300 0.8300 0.0000
3 K 0.6700 0.1700 0.0000
4 K 0.8300 0.6700 0.0000
5 Tb 0.0000 0.0000 0.0000
6 Tb 0.5000 0.5000 0.0000
7 Nb 0.0000 0.5000 0.5000
8 Nb 0.0765 0.7879 0.5000
9 Nb 0.2121 0.0765 0.5000
10 Nb 0.2879 0.5765 0.5000
11 Nb 0.4235 0.2879 0.5000
12 Nb 0.5000 0.0000 0.5000
13 Nb 0.5765 0.7121 0.5000
14 Nb 0.7121 0.4235 0.5000
15 Nb 0.7879 0.9235 0.5000
16 Nb 0.9235 0.2121 0.5000
17 O 0.0004 0.3421 0.5000
18 O 0.0000 0.5000 0.0000
19 O 0.9996 0.6579 0.5000
20 O 0.0579 0.1308 0.5000
21 O 0.0785 0.8142 0.0000
22 O 0.1308 0.9421 0.5000
23 O 0.1579 0.4996 0.5000
24 O 0.1858 0.0785 0.0000
25 O 0.2172 0.7172 0.5000
26 O 0.2828 0.2172 0.5000
27 O 0.3142 0.5785 0.0000
28 O 0.3421 0.9996 0.5000
29 O 0.3692 0.4421 0.5000
30 O 0.4215 0.3142 0.0000
31 O 0.4421 0.6308 0.5000
32 O 0.5000 0.0000 0.0000
33 O 0.5004 0.1579 0.5000
34 O 0.4996 0.8421 0.5000
35 O 0.5579 0.3692 0.5000
36 O 0.5785 0.6858 0.0000
37 O 0.6308 0.5579 0.5000
38 O 0.6579 0.0004 0.5000
39 O 0.6858 0.4215 0.0000
40 O 0.7172 0.7828 0.5000
41 O 0.7828 0.2828 0.5000
42 O 0.8142 0.9215 0.0000
43 O 0.8421 0.5004 0.5000
44 O 0.8692 0.0579 0.5000
45 O 0.9215 0.1858 0.0000
46 O 0.9421 0.8692 0.5000